# 1
Computed powder diffraction line list of Mo3As2O15 for Cu Kα X-rays, from a DFT-relaxed cell (PBE+U, the Materials Project).

Structure:
```
40
Lattice="6.5232 -3.8932 0.0000 6.5232 3.8932 0.0000 -6.3552 0.0000 11.4912" Properties=species:S:1:pos:R:3 pbc="T T T"
Mo 3.3456 3.7074 5.7456
Mo 3.5376 0.2099 1.6173
Mo 0.3600 -0.2099 7.3629
Mo 3.5941 0.3394 9.3995
Mo 6.7717 -0.3394 3.6539
Mo 6.5232 -3.7074 0.0000
As 5.2462 2.8444 3.0223
As 8.4061 1.1050 0.9237
As 5.2285 -1.1050 6.6693
As 2.0686 -2.8444 8.7679
O 2.4297 3.8329 7.5009
O -1.8376 0.0130 4.2605
O -5.0152 -0.0130 10.0060
O 0.0576 1.8754 7.2886
O 1.8210 0.4683 1.1926
O 3.8469 1.9368 2.4897
O 3.2507 2.0067 5.6495
O -1.3566 -0.4683 6.9382
O -0.2458 0.8264 9.2387
O 4.3816 0.3313 0.1395
O 7.0954 2.0393 0.4074
O 1.2040 -0.3313 5.8851
O 6.5501 1.8792 3.4810
O 3.9579 1.9915 9.5849
O 2.0449 0.4255 8.4290
O 2.9318 -0.8264 3.4931
O 3.2352 -1.8754 1.5430
O 5.2225 -0.4254 2.6834
O 0.6693 -1.9368 8.2353
O 2.6626 0.0996 11.1486
O 5.8402 -0.0996 5.4030
O 4.7996 0.0877 7.8335
O 7.9772 -0.0877 2.0879
O 0.0731 -2.0067 11.3951
O 8.4390 0.3005 4.7532
O 3.9178 -2.0393 6.1530
O 5.2613 -0.3005 10.4988
O 3.3725 -1.8792 9.2266
O 7.1355 -1.9915 3.8393
O 5.6073 -3.8329 1.7553
```

Main lines, by angle (2θ = 10–80°):
d = 5.056 Å, 17.54 deg, intensity 210
d = 5.019 Å, 17.67 deg, intensity 632
d = 3.893 Å, 22.84 deg, intensity 276
d = 3.687 Å, 24.14 deg, intensity 203
d = 3.419 Å, 26.06 deg, intensity 1000
d = 3.282 Å, 27.17 deg, intensity 587
d = 2.414 Å, 37.25 deg, intensity 291
d = 1.672 Å, 54.90 deg, intensity 197

---

# 2
Computed powder diffraction line list of MoAs2O7 for Cu Kα X-rays, from a DFT-relaxed cell (PBE+U, the Materials Project).

Structure:
```
40
Lattice="7.6636 0.0000 0.0000 0.0000 9.4470 0.0000 -1.2493 0.0000 9.9513" Properties=species:S:1:pos:R:3 pbc="T T T"
Mo 1.1650 0.4492 3.0399
Mo 0.5404 4.2743 8.0156
Mo 5.8739 5.1727 1.9357
Mo 5.2492 8.9978 6.9114
As 0.6119 6.9180 4.9109
As -0.0128 7.2525 9.8865
As 2.8764 6.8986 2.6721
As 2.2517 7.2718 7.6477
As 4.1626 2.1752 2.3035
As 3.5379 2.5483 7.2792
As 6.4270 2.1945 0.0647
As 5.8024 2.5290 5.0404
O -0.0120 0.6737 1.7855
O -0.6366 4.0498 6.7612
O -0.2189 5.9082 8.7673
O 0.4057 8.2622 3.7916
O 0.7514 1.4843 4.3603
O 0.1267 3.2392 9.3360
O 2.1054 6.1786 1.2836
O 1.4807 7.9918 6.2593
O 2.2217 6.2739 4.1613
O 1.5970 7.8965 9.1370
O 2.5178 1.7341 2.2869
O 1.8932 2.9893 7.2626
O 2.1628 5.5594 7.5627
O 2.7875 8.6110 2.5871
O 3.6268 0.8360 7.3642
O 4.2514 3.8875 2.3886
O 4.5211 6.4576 2.6887
O 3.8965 7.7128 7.6644
O 4.8173 1.5504 0.8143
O 4.1926 3.1730 5.7900
O 4.9335 1.4551 3.6920
O 4.3089 3.2684 8.6677
O 6.2875 6.2078 0.6153
O 5.6629 7.9627 5.5910
O 6.0085 1.1847 6.1597
O 6.6332 3.5388 1.1840
O 7.0509 5.3972 3.1901
O 6.4262 8.7733 8.1658
```

Main lines, by angle (2θ = 10–80°):
d = 5.923 Å, 14.96 deg, intensity 1000
d = 5.322 Å, 16.66 deg, intensity 654
d = 4.886 Å, 18.16 deg, intensity 955
d = 4.267 Å, 20.82 deg, intensity 542
d = 3.944 Å, 22.54 deg, intensity 872
d = 3.228 Å, 27.63 deg, intensity 880
d = 3.048 Å, 29.30 deg, intensity 715
d = 2.910 Å, 30.73 deg, intensity 512

---

# 3
Computed powder diffraction line list of ZnMoAsO5 for Cu Kα X-rays, from a DFT-relaxed cell (PBE+U, the Materials Project).

Structure:
```
32
Lattice="7.8996 0.0000 0.0000 0.0000 6.6503 0.0000 -0.0154 0.0000 8.5667" Properties=species:S:1:pos:R:3 pbc="T T T"
Zn 0.1283 0.0000 1.6318
Zn 3.6763 3.3237 5.8894
Zn 4.2080 6.6488 2.6773
Zn 7.7559 3.3251 6.9349
Mo 7.8901 1.6620 4.2804
Mo -0.0059 4.9871 4.2863
Mo 3.9431 1.6727 0.0069
Mo 3.9411 4.9978 8.5598
As 1.0779 3.3180 1.4053
As 2.8454 0.0304 5.6901
As 5.0388 3.3556 2.8766
As 6.8063 6.6431 7.1614
O 0.1569 6.6090 8.3157
O 0.8413 3.3263 5.2921
O 0.9654 4.7563 2.3455
O 0.9864 1.8842 2.3565
O 1.3030 0.0033 4.8698
O 2.6418 3.3352 0.6325
O 2.8751 1.4489 6.6695
O 2.9244 5.2407 6.6309
O 3.1718 0.0023 1.0504
O 3.7600 3.4503 3.9945
O 4.1242 0.1252 4.5722
O 4.7124 3.3274 7.5164
O 4.9598 1.9156 1.9358
O 5.0092 4.7740 1.8972
O 5.2424 0.0101 7.9342
O 6.5812 3.3284 3.6969
O 6.8979 5.2093 6.2103
O 6.9188 1.4311 6.2212
O 7.0429 0.0012 3.2746
O 7.7273 3.2838 0.2510
```

Main lines, by angle (2θ = 10–80°):
d = 5.808 Å, 15.25 deg, intensity 325
d = 3.950 Å, 22.51 deg, intensity 668
d = 3.157 Å, 28.27 deg, intensity 327
d = 2.886 Å, 30.99 deg, intensity 1000
d = 2.685 Å, 33.37 deg, intensity 580
d = 2.627 Å, 34.14 deg, intensity 282
d = 2.187 Å, 41.28 deg, intensity 354
d = 1.496 Å, 62.06 deg, intensity 262

---

# 4
Computed powder diffraction line list of V2As3N2O17 for Cu Kα X-rays, from a DFT-relaxed cell (PBE+U, the Materials Project).

Structure:
```
48
Lattice="6.9641 -8.8261 0.0000 6.9641 8.8261 0.0000 -6.4265 0.0000 7.6541" Properties=species:S:1:pos:R:3 pbc="T T T"
V 2.0800 7.1834 5.5437
V 5.4217 7.1834 2.1104
V 2.0800 -7.1834 5.5437
V 5.4217 -7.1834 2.1104
As 1.0111 0.0000 1.3300
As 6.9641 4.9338 0.0000
As -2.2907 0.0000 6.6438
As 9.7924 0.0000 1.0103
As 6.9641 -4.9338 0.0000
As 6.4906 0.0000 6.3242
N 2.9712 3.8856 2.0878
N 4.5305 3.8856 5.5663
N 2.9712 -3.8856 2.0878
N 4.5305 -3.8856 5.5663
O -1.6516 0.0000 2.9215
O -3.0355 1.4699 6.1431
O 2.2222 6.1463 4.3272
O -5.0992 0.0000 7.3166
O 0.4557 1.4312 2.0733
O 5.7208 5.9410 0.6242
O 0.2085 2.9630 5.5545
O 1.7809 5.9410 7.0299
O 5.2795 6.1463 3.3269
O -3.0355 -1.4699 6.1431
O 0.4557 -1.4312 2.0733
O 1.3206 2.5124 5.2815
O 2.8460 0.0000 2.0445
O 3.8765 0.0000 1.2146
O -0.6736 0.0000 6.8816
O 6.1811 2.5124 2.3727
O 7.2932 2.9630 2.0997
O 0.2085 -2.9630 5.5545
O 1.3206 -2.5124 5.2815
O 8.1753 0.0000 0.7726
O 3.6252 0.0000 6.4396
O 4.6557 0.0000 5.6097
O 6.1811 -2.5124 2.3727
O 7.0460 1.4312 5.5808
O 10.5372 1.4699 1.5110
O 2.2222 -6.1463 4.3272
O 5.7208 -5.9410 0.6242
O 7.2932 -2.9630 2.0997
O 1.7809 -5.9410 7.0299
O 7.0460 -1.4312 5.5808
O 12.6009 0.0000 0.3376
O 5.2795 -6.1463 3.3269
O 10.5372 -1.4699 1.5110
O 9.1533 0.0000 4.7326
```

Main lines, by angle (2θ = 10–80°):
d = 8.826 Å, 10.02 deg, intensity 1000
d = 7.654 Å, 11.56 deg, intensity 639
d = 4.565 Å, 19.45 deg, intensity 348
d = 3.824 Å, 23.26 deg, intensity 584
d = 3.301 Å, 27.01 deg, intensity 475
d = 3.257 Å, 27.39 deg, intensity 453
d = 3.218 Å, 27.72 deg, intensity 277
d = 2.734 Å, 32.76 deg, intensity 345

---

# 5
Computed powder diffraction line list of NaNiAsO4 for Cu Kα X-rays, from a DFT-relaxed cell (PBE+U, the Materials Project).

Structure:
```
14
Lattice="2.5130 1.4509 8.8976 -2.5130 1.4509 8.8976 0.0000 -2.9018 8.8976" Properties=species:S:1:pos:R:3 pbc="T T T"
Na 0.0000 0.0000 5.6770
Na 0.0000 0.0000 21.0159
Ni 0.0000 0.0000 8.9626
Ni 0.0000 0.0000 17.7302
As 0.0000 0.0000 1.7644
As 0.0000 0.0000 24.9284
O -0.8666 -1.4885 10.1168
O 0.0000 0.0000 3.4463
O -1.7223 0.0063 16.5760
O -0.8557 1.4947 10.1168
O 0.8557 -1.4947 16.5760
O 1.7223 -0.0063 10.1168
O 0.0000 0.0000 23.2466
O 0.8666 1.4884 16.5760
```

Main lines, by angle (2θ = 10–80°):
d = 4.296 Å, 20.68 deg, intensity 519
d = 3.373 Å, 26.42 deg, intensity 271
d = 2.868 Å, 31.18 deg, intensity 868
d = 2.648 Å, 33.85 deg, intensity 407
d = 2.513 Å, 35.73 deg, intensity 1000
d = 1.890 Å, 48.14 deg, intensity 270
d = 1.511 Å, 61.37 deg, intensity 249
d = 1.452 Å, 64.15 deg, intensity 718